[1]
This entry pairs a crystal structure of Cd2Ag5Au2 with its simulated X-ray diffraction stick pattern. Radiation: Cu Kα. Structure: a DFT-relaxed cell (GGA-PBE, Alexandria).
Neutral-atom scattering factors, no anomalous dispersion.

Most intense lines, 2θ = 10–90°, low angle first:
36.99 deg, I 100, (1 2 -2)
37.22 deg, I 98, (1 1 1)
42.38 deg, I 34, (2 0 -1)
42.83 deg, I 33, (0 1 -3)
44.11 deg, I 30, (0 3 0)
61.83 deg, I 21, (2 1 -4)
62.83 deg, I 31, (2 3 -1)
73.98 deg, I 13, (3 2 -3)
74.12 deg, I 13, (3 1 0)
74.45 deg, I 12, (1 3 -5)
74.89 deg, I 12, (1 0 4)
76.27 deg, I 12, (1 5 -2)

```
data_Cd2Ag5Au2
_chemical_formula_sum 'Cd2 Ag5 Au2'
_cell_length_a 4.2652
_cell_length_b 6.5297
_cell_length_c 6.6817
_cell_angle_alpha 108.33
_cell_angle_beta 108.53
_cell_angle_gamma 90.02
_symmetry_space_group_name_H-M 'P -1'
_symmetry_Int_Tables_number 2
_symmetry_space_group_name_Hall '-P 1'
loop_
_atom_site_label
_atom_site_fract_x
_atom_site_fract_y
_atom_site_fract_z
_atom_site_occupancy
Cd1 0.0570 0.3286 0.1150 1
Ag1 0.2774 0.6676 0.5552 1
Ag2 0.3881 0.3328 0.7761 1
Ag3 0.5000 0.0000 0.0000 1
Au1 0.1678 0.9983 0.3347 1
```

[2]
This entry pairs a crystal structure of K2TeO5 with its simulated X-ray diffraction stick pattern. Radiation: Cu Kα. Structure: a DFT-relaxed cell (GGA-PBE, Alexandria).
Neutral-atom scattering factors, no anomalous dispersion.

Most intense lines, 2θ = 10–90°, low angle first:
13.97 deg, I 100, (1 0 0)
26.28 deg, I 27, (1 0 1)
28.15 deg, I 19, (2 0 0)
29.88 deg, I 47, (1 1 1)
31.56 deg, I 17, (2 1 0)
38.89 deg, I 11, (2 1 1)
40.24 deg, I 20, (2 2 0)
45.18 deg, I 9, (0 0 2)
47.52 deg, I 8, (1 0 2)
50.92 deg, I 18, (3 1 1)
57.20 deg, I 8, (3 2 1)
62.08 deg, I 10, (2 2 2)

```
data_K2TeO5
_chemical_formula_sum 'K2 Te1 O5'
_cell_length_a 6.3391
_cell_length_b 6.3391
_cell_length_c 4.0141
_cell_angle_alpha 90.00
_cell_angle_beta 90.00
_cell_angle_gamma 90.00
_symmetry_space_group_name_H-M 'P 4/m m m'
_symmetry_Int_Tables_number 123
_symmetry_space_group_name_Hall '-P 4 2'
loop_
_atom_site_label
_atom_site_fract_x
_atom_site_fract_y
_atom_site_fract_z
_atom_site_occupancy
K1 0.0000 0.5000 0.0000 1
Te1 0.0000 0.0000 0.5000 1
O1 0.0000 0.0000 0.0000 1
O2 0.2121 0.2121 0.5000 1
```

[3]
This entry pairs a crystal structure of MgB3Rh6 with its simulated X-ray diffraction stick pattern. Radiation: Cu Kα. Structure: a DFT-relaxed cell (GGA-PBE, Alexandria).
Neutral-atom scattering factors, no anomalous dispersion.

Most intense lines, 2θ = 10–90°, low angle first:
32.64 deg, I 27, (1 1 -1)
32.80 deg, I 49, (1 -2 0)
36.02 deg, I 93, (0 0 2)
37.33 deg, I 29, (1 1 0)
37.52 deg, I 100, (1 -2 1)
37.64 deg, I 31, (-2 1 2)
38.42 deg, I 44, (2 0 -1)
38.60 deg, I 22, (-2 2 1)
40.01 deg, I 31, (2 -2 0)
49.15 deg, I 24, (2 0 -3)
49.44 deg, I 22, (2 -1 1)
49.55 deg, I 27, (1 1 -3)

```
data_MgB3Rh6
_chemical_formula_sum 'Mg1 B3 Rh6'
_cell_length_a 5.4544
_cell_length_b 5.4686
_cell_length_c 5.8910
_cell_angle_alpha 90.10
_cell_angle_beta 117.49
_cell_angle_gamma 119.69
_symmetry_space_group_name_H-M 'P 1'
_symmetry_Int_Tables_number 1
_symmetry_space_group_name_Hall 'P 1'
loop_
_atom_site_label
_atom_site_fract_x
_atom_site_fract_y
_atom_site_fract_z
_atom_site_occupancy
Mg1 0.0000 0.0000 0.0000 1
B1 0.4375 0.2178 0.6603 1
B2 0.5088 0.7553 0.2655 1
B3 0.8352 0.4166 0.2527 1
Rh1 0.3166 0.8104 0.4818 1
Rh2 0.4510 0.9896 0.9706 1
Rh3 0.5100 0.5228 0.9682 1
Rh4 0.6621 0.5037 0.4799 1
Rh5 0.9713 0.1593 0.4856 1
Rh6 0.9826 0.4611 0.9676 1
```

[4]
This entry pairs a crystal structure of HoBiO4 with its simulated X-ray diffraction stick pattern. Radiation: Cu Kα. Structure: a DFT-relaxed cell (GGA-PBE, Alexandria).
Neutral-atom scattering factors, no anomalous dispersion.

Most intense lines, 2θ = 10–90°, low angle first:
22.92 deg, I 9, (0 0 2)
28.19 deg, I 100, (2 1 0)
29.52 deg, I 8, (1 1 -2)
30.78 deg, I 8, (2 0 -2)
32.70 deg, I 15, (0 2 0)
34.41 deg, I 12, (2 0 2)
45.52 deg, I 9, (2 2 -2)
46.83 deg, I 9, (4 0 0)
48.20 deg, I 16, (2 2 2)
49.87 deg, I 7, (4 1 0)
55.64 deg, I 14, (2 3 0)
57.89 deg, I 13, (4 1 2)

```
data_HoBiO4
_chemical_formula_sum 'Ho4 Bi4 O16'
_cell_length_a 7.8075
_cell_length_b 5.4766
_cell_length_c 7.8036
_cell_angle_alpha 90.00
_cell_angle_beta 96.19
_cell_angle_gamma 90.00
_symmetry_space_group_name_H-M 'P 1 21/c 1'
_symmetry_Int_Tables_number 14
_symmetry_space_group_name_Hall '-P 2ybc'
loop_
_atom_site_label
_atom_site_fract_x
_atom_site_fract_y
_atom_site_fract_z
_atom_site_occupancy
Ho1 0.1325 0.2325 0.3833 1
Bi1 0.3389 0.7283 0.1770 1
O1 0.1058 0.5069 0.1665 1
O2 0.1594 0.0077 0.1101 1
O3 0.3265 0.5866 0.9221 1
O4 0.4150 0.0997 0.8230 1
```